# ZnH6Se2O8
Computed X-ray powder pattern, CuKα. Input: the PBE geometry in OQMD.

Structure:
```
data_ZnH6Se2O8
_cell_length_a 6.9918
_cell_length_b 6.7531
_cell_length_c 8.2835
_cell_angle_alpha 90.00
_cell_angle_beta 120.40
_cell_angle_gamma 90.00
_space_group_name_H-M_alt 'P 1 21/c 1'
_space_group_IT_number 14
loop_
_space_group_symop_operation_xyz
'x,y,z'
'-x,-y,-z'
'-x,y+1/2,-z+1/2'
'x,-y+1/2,z+1/2'
loop_
_atom_site_label
_atom_site_type_symbol
_atom_site_fract_x
_atom_site_fract_y
_atom_site_fract_z
_atom_site_occupancy
Zn1 Zn 0.0000 0.0000 0.0000 1
H1 H 0.1100 0.2133 0.3687 1
H2 H 0.2103 0.1561 0.5850 1
H3 H 0.4992 0.5159 0.2536 1
Se1 Se 0.3403 0.7288 0.3910 1
O1 O 0.0773 0.6792 0.3412 1
O2 O 0.2020 0.2350 0.0014 1
O3 O 0.2982 0.5650 0.7575 1
O4 O 0.3451 0.5404 0.2365 1
```

Largest 12 diffraction maxima, sorted by position, 2θ from 10° to 90°:
| two_theta | I_rel | (hkl) |
| --- | --- | --- |
| 18.1 | 62.2 | 0 1 1 |
| 19.7 | 100.0 | 1 1 0 |
| 25.3 | 28.6 | 1 1 -2 |
| 27.4 | 36.8 | 2 0 -2 |
| 28.3 | 81.5 | 0 1 2 |
| 32.5 | 41.1 | 2 1 0 |
| 34.3 | 90.2 | 1 2 -2 |
| 35.1 | 34.9 | 1 0 2 |
| 41.0 | 26.4 | 3 1 -2 |
| 45.1 | 23.7 | 3 0 0 |
| 55.7 | 23.7 | 3 2 -4 |
| 55.9 | 25.2 | 2 2 2 |